TlFeSn2F8: computed powder diffractogram (Cu Kα), based on a crystal structure in Alexandria, relaxed with GGA+U.

Structure:
a = 4.997 Å, b = 5.006 Å, c = 7.786 Å
α = 96.45°, β = 103.70°, γ = 90.72°
Space group P-1 (No. 2)
Asymmetric unit:
Tl  0.000  0.000  0.000
Fe  0.000  0.000  0.500
Sn  0.414  0.451  0.251
F  0.113  0.759  0.305
F  0.210  0.762  0.695
F  0.348  0.292  0.523
F  0.498  0.261  0.902

Most intense lines, 2θ = 5–70°, low angle first:
2theta, Rel. int., (hkl)
19.3, 41, 1 0 -1
20.2, 27, 0 1 -1
25.1, 100, 1 -1 0
26.2, 88, 1 1 0
26.3, 69, 1 0 -2
28.0, 68, 0 1 -2
31.5, 89, 0 1 2
33.5, 32, 1 0 2
39.0, 34, 1 1 -3
40.5, 31, -2 1 1